# 1
Computed powder X-ray diffraction pattern of Cu6Ge for CuKα, from a structure optimized by DFT (PBE).

The 4 most intense peaks (2θ = 10–90°), in order of rising 2θ:
2theta, d/Å, I (rel.)
43.8, 2.069, 100
63.6, 1.463, 15
80.3, 1.196, 7
80.4, 1.194, 22

Structure:
abc: 6.3839 6.3839 6.3839
angles: 37.78 37.78 37.78
Element x y z (fractional)
Cu 0.0688 0.0688 0.0688
Cu 0.2142 0.2142 0.2142
Cu 0.3563 0.3563 0.3563
Cu 0.6437 0.6437 0.6437
Cu 0.7858 0.7858 0.7858
Cu 0.9312 0.9312 0.9312
Ge 0.5000 0.5000 0.5000


# 2
Computed powder X-ray diffraction pattern of TlPb4 for CuKα, from a structure optimized by DFT (PBE).

The 12 most intense peaks (2θ = 10–90°), in order of rising 2θ:
2theta, d/Å, I (rel.)
30.5, 2.932, 35
31.0, 2.884, 100
35.8, 2.508, 69
51.2, 1.784, 25
51.9, 1.763, 24
60.8, 1.524, 15
61.4, 1.511, 30
61.7, 1.504, 15
64.6, 1.442, 13
84.7, 1.144, 13
86.3, 1.127, 12
87.4, 1.116, 12

Structure:
abc: 14.7986 14.7986 14.7986
angles: 13.68 13.68 13.68
Element x y z (fractional)
Tl 0.0000 0.0000 0.0000
Pb 0.2001 0.2001 0.2001
Pb 0.4006 0.4006 0.4006
Pb 0.5994 0.5994 0.5994
Pb 0.7999 0.7999 0.7999